# Ce2Nb2O7
Calculated powder diffraction line list, copper Kα. Input: the PBE geometry in Alexandria.
Lines closer than 0.1° are merged.

Largest 6 diffraction maxima, in order of rising 2θ, 2θ = 10–80°:
Position (°2θ), I_rel
29.08, 100
33.70, 31
48.40, 49
57.46, 43
60.27, 9
78.35, 17

Lattice parameters (Å, degrees): 7.523 7.523 7.523 60.00 60.00 60.00
Positions (direct):
Ce (0.000, 0.000, 0.000)
Ce (0.000, 0.000, 0.500)
Ce (0.000, 0.500, 0.000)
Ce (0.500, 0.000, 0.000)
Nb (0.000, 0.500, 0.500)
Nb (0.500, 0.000, 0.500)
Nb (0.500, 0.500, 0.000)
Nb (0.500, 0.500, 0.500)
O (0.125, 0.125, 0.125)
O (0.164, 0.164, 0.586)
O (0.164, 0.586, 0.164)
O (0.164, 0.586, 0.586)
O (0.414, 0.414, 0.836)
O (0.414, 0.836, 0.414)
O (0.414, 0.836, 0.836)
O (0.586, 0.164, 0.164)
O (0.586, 0.164, 0.586)
O (0.586, 0.586, 0.164)
O (0.836, 0.414, 0.414)
O (0.836, 0.414, 0.836)
O (0.836, 0.836, 0.414)
O (0.875, 0.875, 0.875)

***

# Ca2PaRh3
Calculated powder diffraction line list, copper Kα. Input: the PBE geometry in Alexandria.
Lines closer than 0.1° are merged.

Largest 6 diffraction maxima, in order of rising 2θ, 2θ = 10–80°:
Position (°2θ), I_rel
12.74, 57
35.79, 36
36.57, 100
37.35, 24
47.16, 20
52.68, 24

Lattice parameters (Å, degrees): 7.646 7.646 6.949 90.02 90.02 141.67
Positions (direct):
Ca (0.000, 0.000, 0.000)
Ca (0.000, 0.000, 0.500)
Ca (0.336, 0.664, 0.000)
Ca (0.664, 0.336, 0.000)
Pa (0.339, 0.661, 0.500)
Pa (0.661, 0.339, 0.500)
Rh (0.180, 0.819, 0.713)
Rh (0.181, 0.820, 0.287)
Rh (0.500, 0.500, 0.284)
Rh (0.500, 0.500, 0.716)
Rh (0.819, 0.180, 0.713)
Rh (0.820, 0.181, 0.287)

***

# NdRh2Pb
Calculated powder diffraction line list, copper Kα. Input: the PBE geometry in Alexandria.
Lines closer than 0.1° are merged.

Largest 6 diffraction maxima, in order of rising 2θ, 2θ = 10–80°:
Position (°2θ), I_rel
28.64, 88
31.97, 42
36.15, 100
40.19, 67
40.94, 87
43.24, 38

Lattice parameters (Å, degrees): 5.599 4.411 7.130 90.00 90.00 90.00
Positions (direct):
Nd (0.250, 0.000, 0.244)
Nd (0.750, 0.000, 0.756)
Rh (0.000, 0.500, 0.500)
Rh (0.250, 0.000, 0.636)
Rh (0.500, 0.500, 0.500)
Rh (0.750, 0.000, 0.364)
Pb (0.250, 0.500, 0.861)
Pb (0.750, 0.500, 0.139)